Simulated X-ray powder pattern of Y2CN2O2 for Cu Kα X-rays, from a cell relaxed with PBE.

Main lines, by angle (10° ≤ 2θ ≤ 90°):
2θ = 10.8°, d = 8.228 Å, I = 49.6; 2θ = 21.6°, d = 4.114 Å, I = 16.7; 2θ = 29.6°, d = 3.017 Å, I = 100.0; 2θ = 32.6°, d = 2.743 Å, I = 17.9; 2θ = 35.2°, d = 2.547 Å, I = 34.4; 2θ = 43.2°, d = 2.094 Å, I = 24.0; 2θ = 48.6°, d = 1.872 Å, I = 33.2; 2θ = 52.7°, d = 1.737 Å, I = 24.3; 2θ = 58.0°, d = 1.591 Å, I = 13.8; 2θ = 59.8°, d = 1.546 Å, I = 18.2

Structural model:
Lattice parameters (Å, degrees): 3.745 3.745 8.228 90.00 90.00 120.00
Atoms (fractional coordinates):
Y1 0.333 0.667 0.178
Y2 0.667 0.333 0.822
C1 0.000 0.000 0.500
N1 0.000 0.000 0.350
N2 0.000 0.000 0.650
O1 0.333 0.667 0.896
O2 0.667 0.333 0.104